Computed powder diffractogram
Compound: Mg5Ga3
Radiation: CuKα
Structure: a DFT-relaxed cell (PBE, Alexandria)
Peak positions follow from Bragg's law for the DFT cell and can differ from measured ones.

The 10 most intense peaks (10° ≤ 2θ ≤ 90°), by angle:
Position (°2θ)	I (rel.)
21.30	17
28.90	15
36.18	100
40.60	17
42.04	17
43.39	15
59.87	10
62.00	10
70.99	10
72.99	12

Structural model:
```
data_Mg5Ga3
_chemical_formula_sum 'Mg10 Ga6'
_cell_length_a 8.342
_cell_length_b 8.888
_cell_length_c 4.298
_cell_angle_alpha 90.00
_cell_angle_beta 90.00
_cell_angle_gamma 90.00
_space_group_name_H-M_alt 'C m m m'
_space_group_IT_number 65
_space_group_name_Hall '-C 2 2'
loop_
_atom_site_label
_atom_site_type_symbol
_atom_site_fract_x
_atom_site_fract_y
_atom_site_fract_z
Mg1 Mg 0.000 0.000 0.000
Mg2 Mg 0.224 0.500 0.500
Mg3 Mg 0.250 0.250 0.000
Ga1 Ga 0.000 0.229 0.500
Ga2 Ga 0.000 0.500 0.000
```

Computed powder diffractogram
Compound: CaTa2CuN4
Radiation: CuKα
Structure: a DFT-relaxed cell (PBE, Alexandria)
Peak positions follow from Bragg's law for the DFT cell and can differ from measured ones.

The 10 most intense peaks (10° ≤ 2θ ≤ 90°), by angle:
Position (°2θ)	I (rel.)
16.22	75
18.70	77
29.20	42
29.82	90
33.58	97
34.03	64
38.43	66
41.63	100
44.90	59
58.27	63

Structural model:
```
data_CaTa2CuN4
_chemical_formula_sum 'Ca4 Ta8 Cu4 N16'
_cell_length_a 3.196
_cell_length_b 10.538
_cell_length_c 10.929
_cell_angle_alpha 90.00
_cell_angle_beta 90.00
_cell_angle_gamma 90.00
_space_group_name_H-M_alt 'C m c m'
_space_group_IT_number 63
_space_group_name_Hall '-C 2c 2'
loop_
_atom_site_label
_atom_site_type_symbol
_atom_site_fract_x
_atom_site_fract_y
_atom_site_fract_z
Ca1 Ca 0.000 0.104 0.250
Ta1 Ta 0.000 0.371 0.055
Cu1 Cu 0.000 0.169 0.750
N1 N 0.000 0.000 0.000
N2 N 0.000 0.272 0.604
N3 N 0.000 0.442 0.250
```

Computed powder diffractogram
Compound: Li8Sn6Pd
Radiation: CuKα
Structure: a DFT-relaxed cell (PBE, Alexandria)
Peak positions follow from Bragg's law for the DFT cell and can differ from measured ones.

The 10 most intense peaks (10° ≤ 2θ ≤ 90°), by angle:
Position (°2θ)	I (rel.)
15.24	67
22.05	22
26.92	100
38.18	71
38.69	59
41.81	33
47.76	22
55.48	24
63.08	19
69.68	25

Structural model:
```
data_Li8Sn6Pd
_chemical_formula_sum 'Li24 Sn18 Pd3'
_cell_length_a 8.0619
_cell_length_b 8.0619
_cell_length_c 17.4373
_cell_angle_alpha 90.00
_cell_angle_beta 90.00
_cell_angle_gamma 120.00
_space_group_name_H-M_alt 'R -3'
_space_group_IT_number 148
_space_group_name_Hall '-R 3'
loop_
_atom_site_label
_atom_site_type_symbol
_atom_site_fract_x
_atom_site_fract_y
_atom_site_fract_z
Li1 Li 0.0000 0.0000 0.1693
Li2 Li 0.9999 0.3288 0.6183
Sn1 Sn 0.0013 0.6720 0.5511
Pd1 Pd 0.0000 0.0000 0.5000
```

Computed powder diffractogram
Compound: Ca3Sm5
Radiation: CuKα
Structure: a DFT-relaxed cell (PBE, Alexandria)
Peak positions follow from Bragg's law for the DFT cell and can differ from measured ones.

The 10 most intense peaks (10° ≤ 2θ ≤ 90°), by angle:
Position (°2θ)	I (rel.)
28.89	27
29.21	31
29.46	11
31.04	100
32.93	20
41.55	20
52.56	16
52.95	22
55.99	10
64.71	10

Structural model:
```
data_Ca3Sm5
_chemical_formula_sum 'Ca6 Sm10'
_cell_length_a 3.847
_cell_length_b 6.115
_cell_length_c 24.727
_cell_angle_alpha 90.00
_cell_angle_beta 90.00
_cell_angle_gamma 90.00
_space_group_name_H-M_alt 'C m m m'
_space_group_IT_number 65
_space_group_name_Hall '-C 2 2'
loop_
_atom_site_label
_atom_site_type_symbol
_atom_site_fract_x
_atom_site_fract_y
_atom_site_fract_z
Ca1 Ca 0.000 0.000 0.000
Ca2 Ca 0.000 0.500 0.133
Sm1 Sm 0.000 0.000 0.262
Sm2 Sm 0.000 0.000 0.500
Sm3 Sm 0.000 0.500 0.379
```

Computed powder diffractogram
Compound: Cd3GaH2Pd9
Radiation: CuKα
Structure: a DFT-relaxed cell (PBE, Alexandria)
Peak positions follow from Bragg's law for the DFT cell and can differ from measured ones.

The 10 most intense peaks (10° ≤ 2θ ≤ 90°), by angle:
Position (°2θ)	I (rel.)
35.00	32
37.32	100
39.37	6
42.69	83
60.40	20
63.51	25
71.75	9
74.62	19
76.04	11
79.57	12

Structural model:
```
data_Cd3GaH2Pd9
_chemical_formula_sum 'Cd3 Ga1 H2 Pd9'
_cell_length_a 5.8591
_cell_length_b 5.8591
_cell_length_c 7.6920
_cell_angle_alpha 90.00
_cell_angle_beta 90.00
_cell_angle_gamma 120.00
_space_group_name_H-M_alt 'P -3 m 1'
_space_group_IT_number 164
_space_group_name_Hall '-P 3 2"'
loop_
_atom_site_label
_atom_site_type_symbol
_atom_site_fract_x
_atom_site_fract_y
_atom_site_fract_z
Cd1 Cd 0.0000 0.0000 0.0000
Cd2 Cd 0.3333 0.6667 0.6527
Ga1 Ga 0.0000 0.0000 0.5000
H1 H 0.3333 0.6667 0.1085
Pd1 Pd 0.0000 0.5000 0.0000
Pd2 Pd 0.1757 0.3513 0.2974
```

Computed powder diffractogram
Compound: Sc3Ga2Ni6
Radiation: CuKα
Structure: a DFT-relaxed cell (PBE, Alexandria)
Peak positions follow from Bragg's law for the DFT cell and can differ from measured ones.

The 10 most intense peaks (10° ≤ 2θ ≤ 90°), by angle:
Position (°2θ)	I (rel.)
14.54	40
36.13	19
39.13	28
41.96	10
44.64	100
47.19	31
52.01	16
66.97	8
72.84	15
82.25	22

Structural model:
```
data_Sc3Ga2Ni6
_chemical_formula_sum 'Sc12 Ga8 Ni24'
_cell_length_a 8.613
_cell_length_b 8.613
_cell_length_c 8.613
_cell_angle_alpha 90.00
_cell_angle_beta 90.00
_cell_angle_gamma 90.00
_space_group_name_H-M_alt 'I m -3 m'
_space_group_IT_number 229
_space_group_name_Hall '-I 4 2 3'
loop_
_atom_site_label
_atom_site_type_symbol
_atom_site_fract_x
_atom_site_fract_y
_atom_site_fract_z
Sc1 Sc 0.000 0.000 0.287
Ga1 Ga 0.250 0.250 0.250
Ni1 Ni 0.000 0.343 0.343
```

Computed powder diffractogram
Compound: K3Tl7Sn2
Radiation: CuKα
Structure: a DFT-relaxed cell (PBE, Alexandria)
Peak positions follow from Bragg's law for the DFT cell and can differ from measured ones.

The 10 most intense peaks (10° ≤ 2θ ≤ 90°), by angle:
Position (°2θ)	I (rel.)
13.05	34
15.55	57
29.10	36
31.05	74
31.39	42
31.73	45
33.00	37
33.38	100
35.64	43
36.25	46

Structural model:
```
data_K3Tl7Sn2
_chemical_formula_sum 'K3 Tl7 Sn2'
_cell_length_a 4.974
_cell_length_b 6.622
_cell_length_c 13.753
_cell_angle_alpha 86.48
_cell_angle_beta 80.71
_cell_angle_gamma 72.71
_space_group_name_H-M_alt 'P -1'
_space_group_IT_number 2
loop_
_space_group_symop_operation_xyz
'x,y,z'
'-x,-y,-z'
loop_
_atom_site_label
_atom_site_type_symbol
_atom_site_fract_x
_atom_site_fract_y
_atom_site_fract_z
K1 K 0.000 0.000 0.000
K2 K 0.101 0.708 0.585
Tl1 Tl 0.137 0.455 0.834
Tl2 Tl 0.381 0.149 0.602
Tl3 Tl 0.490 0.183 0.210
Tl4 Tl 0.500 0.500 0.000
Sn1 Sn 0.211 0.780 0.260
```

Computed powder diffractogram
Compound: Tb4Ga12Cu
Radiation: CuKα
Structure: a DFT-relaxed cell (PBE, Alexandria)
Peak positions follow from Bragg's law for the DFT cell and can differ from measured ones.

The 10 most intense peaks (10° ≤ 2θ ≤ 90°), by angle:
Position (°2θ)	I (rel.)
20.54	10
29.20	27
35.97	100
41.77	59
46.98	8
51.78	8
60.55	35
68.62	8
72.48	31
76.26	10

Structural model:
```
data_Tb4Ga12Cu
_chemical_formula_sum 'Tb8 Ga24 Cu2'
_cell_length_a 8.650
_cell_length_b 8.650
_cell_length_c 8.650
_cell_angle_alpha 90.00
_cell_angle_beta 90.00
_cell_angle_gamma 90.00
_space_group_name_H-M_alt 'I m -3 m'
_space_group_IT_number 229
_space_group_name_Hall '-I 4 2 3'
loop_
_atom_site_label
_atom_site_type_symbol
_atom_site_fract_x
_atom_site_fract_y
_atom_site_fract_z
Tb1 Tb 0.250 0.250 0.250
Ga1 Ga 0.000 0.000 0.292
Ga2 Ga 0.000 0.250 0.500
Cu1 Cu 0.000 0.000 0.000
```

Computed powder diffractogram
Compound: AgTe2S
Radiation: CuKα
Structure: a DFT-relaxed cell (PBE, Alexandria)
Peak positions follow from Bragg's law for the DFT cell and can differ from measured ones.

The 10 most intense peaks (10° ≤ 2θ ≤ 90°), by angle:
Position (°2θ)	I (rel.)
13.08	11
22.55	14
25.56	11
28.62	53
30.67	100
40.61	36
41.47	16
44.21	32
46.27	16
55.32	16

Structural model:
```
data_AgTe2S
_chemical_formula_sum 'Ag2 Te4 S2'
_cell_length_a 8.088
_cell_length_b 3.924
_cell_length_c 7.215
_cell_angle_alpha 90.00
_cell_angle_beta 110.29
_cell_angle_gamma 90.00
_space_group_name_H-M_alt 'C 1 m 1'
_space_group_IT_number 8
loop_
_space_group_symop_operation_xyz
'x,y,z'
'x,-y,z'
'x+1/2,y+1/2,z'
'x+1/2,-y+1/2,z'
loop_
_atom_site_label
_atom_site_type_symbol
_atom_site_fract_x
_atom_site_fract_y
_atom_site_fract_z
Ag1 Ag 0.000 0.000 0.000
Te1 Te 0.006 0.500 0.474
Te2 Te 0.266 0.000 0.771
S1 S 0.146 0.500 0.224
```

Computed powder diffractogram
Compound: HfThSeN2
Radiation: CuKα
Structure: a DFT-relaxed cell (PBE, Alexandria)
Peak positions follow from Bragg's law for the DFT cell and can differ from measured ones.

The 10 most intense peaks (10° ≤ 2θ ≤ 90°), by angle:
Position (°2θ)	I (rel.)
13.88	53
25.62	100
25.98	26
27.77	67
31.57	68
33.92	25
35.08	44
35.51	48
43.65	29
52.52	23

Structural model:
```
data_HfThSeN2
_chemical_formula_sum 'Hf2 Th2 Se2 N4'
_cell_length_a 7.239
_cell_length_b 4.148
_cell_length_c 7.727
_cell_angle_alpha 90.00
_cell_angle_beta 117.43
_cell_angle_gamma 90.00
_space_group_name_H-M_alt 'P 1 21/m 1'
_space_group_IT_number 11
loop_
_space_group_symop_operation_xyz
'x,y,z'
'-x,-y,-z'
'-x,y+1/2,-z'
'x,-y+1/2,z'
loop_
_atom_site_label
_atom_site_type_symbol
_atom_site_fract_x
_atom_site_fract_y
_atom_site_fract_z
Hf1 Hf 0.186 0.250 0.055
Th1 Th 0.271 0.750 0.449
Se1 Se 0.235 0.250 0.736
N1 N 0.135 0.750 0.098
N2 N 0.363 0.250 0.365
```

Computed powder diffractogram
Compound: LaCuP2
Radiation: CuKα
Structure: a DFT-relaxed cell (PBE, Alexandria)
Peak positions follow from Bragg's law for the DFT cell and can differ from measured ones.

The 10 most intense peaks (10° ≤ 2θ ≤ 90°), by angle:
Position (°2θ)	I (rel.)
23.96	100
24.14	80
27.70	60
30.32	36
30.57	52
35.07	60
35.43	56
37.01	49
40.47	41
43.12	39

Structural model:
```
data_LaCuP2
_chemical_formula_sum 'La4 Cu4 P8'
_cell_length_a 5.290
_cell_length_b 7.446
_cell_length_c 8.132
_cell_angle_alpha 90.86
_cell_angle_beta 90.03
_cell_angle_gamma 94.27
_space_group_name_H-M_alt 'P -1'
_space_group_IT_number 2
loop_
_space_group_symop_operation_xyz
'x,y,z'
'-x,-y,-z'
loop_
_atom_site_label
_atom_site_type_symbol
_atom_site_fract_x
_atom_site_fract_y
_atom_site_fract_z
La1 La 0.194 0.280 0.068
La2 La 0.302 0.721 0.554
Cu1 Cu 0.148 0.109 0.710
Cu2 Cu 0.349 0.876 0.200
P1 P 0.062 0.415 0.745
P2 P 0.173 0.073 0.415
P3 P 0.332 0.925 0.911
P4 P 0.490 0.418 0.759
```

Computed powder diffractogram
Compound: Pr2GeTe4
Radiation: CuKα
Structure: a DFT-relaxed cell (PBE, Alexandria)
Peak positions follow from Bragg's law for the DFT cell and can differ from measured ones.

The 10 most intense peaks (10° ≤ 2θ ≤ 90°), by angle:
Position (°2θ)	I (rel.)
17.39	11
22.68	100
28.73	14
35.21	32
38.55	46
42.29	38
47.95	11
50.64	11
60.87	11
65.40	19

Structural model:
```
data_Pr2GeTe4
_chemical_formula_sum 'Pr4 Ge2 Te8'
_cell_length_a 7.210
_cell_length_b 7.210
_cell_length_c 12.263
_cell_angle_alpha 90.00
_cell_angle_beta 90.00
_cell_angle_gamma 90.00
_space_group_name_H-M_alt 'I -4 2 m'
_space_group_IT_number 121
_space_group_name_Hall 'I -4 2'
loop_
_atom_site_label
_atom_site_type_symbol
_atom_site_fract_x
_atom_site_fract_y
_atom_site_fract_z
Pr1 Pr 0.000 0.500 0.250
Ge1 Ge 0.000 0.000 0.000
Te1 Te 0.250 0.250 0.109
```

Computed powder diffractogram
Compound: Pu3PaGa8
Radiation: CuKα
Structure: a DFT-relaxed cell (PBE, Alexandria)
Peak positions follow from Bragg's law for the DFT cell and can differ from measured ones.

The 10 most intense peaks (10° ≤ 2θ ≤ 90°), by angle:
Position (°2θ)	I (rel.)
18.29	22
21.05	35
31.96	70
36.55	100
37.07	16
38.42	47
38.58	63
59.98	44
66.81	22
78.63	22

Structural model:
```
data_Pu3PaGa8
_chemical_formula_sum 'Pu3 Pa1 Ga8'
_cell_length_a 5.6012
_cell_length_b 5.6012
_cell_length_c 8.5566
_cell_angle_alpha 90.00
_cell_angle_beta 90.00
_cell_angle_gamma 120.00
_space_group_name_H-M_alt 'P 3 m 1'
_space_group_IT_number 156
loop_
_space_group_symop_operation_xyz
'x,y,z'
'-y,x-y,z'
'-x+y,-x,z'
'-y,-x,z'
'-x+y,y,z'
'x,x-y,z'
loop_
_atom_site_label
_atom_site_type_symbol
_atom_site_fract_x
_atom_site_fract_y
_atom_site_fract_z
Pu1 Pu 0.0000 0.0000 0.0000
Pu2 Pu 0.0000 0.0000 0.3164
Pu3 Pu 0.3333 0.6667 0.8211
Pa1 Pa 0.3333 0.6667 0.4962
Ga1 Ga 0.0180 0.5090 0.1605
Ga2 Ga 0.3149 0.1574 0.6583
Ga3 Ga 0.6667 0.3333 0.4082
Ga4 Ga 0.6667 0.3333 0.9110
```